# 1
# Pa3Co4B2
Simulated X-ray diffraction stick pattern, Cu Kα X-rays. Input: a crystal structure in Alexandria, relaxed with GGA-PBE.
Peak positions follow from Bragg's law for the DFT cell and can differ from measured ones.

Structural model:
```
data_Pa3Co4B2
_cell_length_a 9.835
_cell_length_b 3.684
_cell_length_c 7.934
_cell_angle_alpha 90.00
_cell_angle_beta 113.18
_cell_angle_gamma 90.00
_space_group_name_H-M_alt 'C 1 2/m 1'
_space_group_IT_number 12
loop_
_space_group_symop_operation_xyz
'x,y,z'
'-x,-y,-z'
'-x,y,-z'
'x,-y,z'
'x+1/2,y+1/2,z'
'-x+1/2,-y+1/2,-z'
'-x+1/2,y+1/2,-z'
'x+1/2,-y+1/2,z'
loop_
_atom_site_label
_atom_site_type_symbol
_atom_site_fract_x
_atom_site_fract_y
_atom_site_fract_z
Pa1 Pa 0.000 0.000 0.000
Pa2 Pa 0.130 0.500 0.683
Co1 Co 0.148 0.000 0.433
Co2 Co 0.204 0.500 0.081
B1 B 0.155 0.500 0.319
```

Main lines, in order of rising 2θ (2θ from 5° to 70°):
| Position (°2θ) | I (rel.) | (hkl) |
| --- | --- | --- |
| 24.60 | 44 | 2 0 -2 |
| 26.99 | 40 | 2 0 1 |
| 27.16 | 89 | 1 1 -1 |
| 34.32 | 23 | 2 0 -3 |
| 36.70 | 70 | 3 1 -1 |
| 36.97 | 30 | 0 0 3 |
| 38.60 | 42 | 3 1 0 |
| 38.73 | 100 | 1 1 2 |
| 44.92 | 36 | 3 1 -3 |
| 49.49 | 28 | 0 2 0 |


# 2
# PaCo10B3
Simulated X-ray diffraction stick pattern, Cu Kα X-rays. Input: a crystal structure in Alexandria, relaxed with GGA-PBE.
Peak positions follow from Bragg's law for the DFT cell and can differ from measured ones.

Structural model:
```
data_PaCo10B3
_cell_length_a 10.607
_cell_length_b 10.607
_cell_length_c 10.607
_cell_angle_alpha 90.00
_cell_angle_beta 90.00
_cell_angle_gamma 90.00
_space_group_name_H-M_alt 'F m -3 m'
_space_group_IT_number 225
_space_group_name_Hall '-F 4 2 3'
loop_
_atom_site_label
_atom_site_type_symbol
_atom_site_fract_x
_atom_site_fract_y
_atom_site_fract_z
Pa1 Pa 0.250 0.250 0.250
Co1 Co 0.000 0.167 0.167
Co2 Co 0.115 0.115 0.385
B1 B 0.000 0.000 0.273
```

Main lines, in order of rising 2θ (2θ from 5° to 70°):
| Position (°2θ) | I (rel.) | (hkl) |
| --- | --- | --- |
| 16.72 | 54 | 2 0 0 |
| 23.73 | 22 | 2 2 0 |
| 29.16 | 14 | 2 2 2 |
| 37.94 | 100 | 4 2 0 |
| 41.72 | 62 | 4 2 2 |
| 44.38 | 56 | 3 3 3 |
| 48.55 | 31 | 4 4 0 |
| 50.93 | 25 | 5 3 1 |
| 54.73 | 14 | 6 2 0 |
| 57.65 | 29 | 6 2 2 |


# 3
# PaCoB2
Simulated X-ray diffraction stick pattern, Cu Kα X-rays. Input: a crystal structure in Alexandria, relaxed with GGA-PBE.
Peak positions follow from Bragg's law for the DFT cell and can differ from measured ones.

Structural model:
```
data_PaCoB2
_cell_length_a 4.438
_cell_length_b 9.401
_cell_length_c 4.948
_cell_angle_alpha 90.00
_cell_angle_beta 90.00
_cell_angle_gamma 90.00
_space_group_name_H-M_alt 'C m c m'
_space_group_IT_number 63
_space_group_name_Hall '-C 2c 2'
loop_
_atom_site_label
_atom_site_type_symbol
_atom_site_fract_x
_atom_site_fract_y
_atom_site_fract_z
Pa1 Pa 0.000 0.163 0.250
Co1 Co 0.000 0.500 0.000
B1 B 0.190 0.096 0.750
```

Main lines, in order of rising 2θ (2θ from 5° to 70°):
| Position (°2θ) | I (rel.) | (hkl) |
| --- | --- | --- |
| 26.15 | 59 | 0 2 1 |
| 28.64 | 100 | 1 1 1 |
| 35.05 | 70 | 1 3 0 |
| 40.66 | 21 | 2 0 0 |
| 42.59 | 18 | 0 4 1 |
| 42.95 | 32 | 1 1 2 |
| 48.98 | 29 | 2 2 1 |
| 51.36 | 16 | 1 3 2 |
| 56.30 | 19 | 1 5 1 |
| 59.33 | 17 | 0 2 3 |


# 4
# PaCo6B3
Simulated X-ray diffraction stick pattern, Cu Kα X-rays. Input: a crystal structure in Alexandria, relaxed with GGA-PBE.
Peak positions follow from Bragg's law for the DFT cell and can differ from measured ones.

Structural model:
```
data_PaCo6B3
_cell_length_a 4.9879
_cell_length_b 4.9879
_cell_length_c 14.8213
_cell_angle_alpha 90.00
_cell_angle_beta 90.00
_cell_angle_gamma 120.00
_space_group_name_H-M_alt 'R 3'
_space_group_IT_number 146
_space_group_name_Hall 'R 3'
loop_
_atom_site_label
_atom_site_type_symbol
_atom_site_fract_x
_atom_site_fract_y
_atom_site_fract_z
Pa1 Pa 0.0000 0.0000 0.0000
Co1 Co 0.0019 0.4366 0.1290
Co2 Co 0.1597 0.8255 0.2714
B1 B 0.0000 0.0000 0.1723
B2 B 0.0000 0.0000 0.3705
B3 B 0.0000 0.0000 0.7041
```

Main lines, in order of rising 2θ (2θ from 5° to 70°):
| Position (°2θ) | I (rel.) | (hkl) |
| --- | --- | --- |
| 17.95 | 31 | 0 0 3 |
| 21.43 | 35 | 1 0 1 |
| 23.84 | 52 | 0 1 2 |
| 31.82 | 66 | 1 0 4 |
| 36.37 | 23 | 0 0 6 |
| 36.77 | 52 | 0 1 5 |
| 40.52 | 72 | 2 -1 3 |
| 42.29 | 100 | 0 2 1 |
| 43.65 | 43 | 2 0 2 |
| 52.11 | 42 | 1 1 6 |


# 5
# Pa3Co9B2Pt
Simulated X-ray diffraction stick pattern, Cu Kα X-rays. Input: a crystal structure in Alexandria, relaxed with GGA-PBE.
Peak positions follow from Bragg's law for the DFT cell and can differ from measured ones.

Structural model:
```
data_Pa3Co9B2Pt
_cell_length_a 5.2727
_cell_length_b 5.2727
_cell_length_c 8.6656
_cell_angle_alpha 90.00
_cell_angle_beta 90.00
_cell_angle_gamma 120.00
_space_group_name_H-M_alt 'P -3 m 1'
_space_group_IT_number 164
_space_group_name_Hall '-P 3 2"'
loop_
_atom_site_label
_atom_site_type_symbol
_atom_site_fract_x
_atom_site_fract_y
_atom_site_fract_z
Pa1 Pa 0.0000 0.0000 0.0000
Pa2 Pa 0.3333 0.6667 0.6596
Co1 Co 0.0000 0.5000 0.0000
Co2 Co 0.1614 0.3228 0.2678
B1 B 0.3333 0.6667 0.1404
Pt1 Pt 0.0000 0.0000 0.5000
```

Main lines, in order of rising 2θ (2θ from 5° to 70°):
| Position (°2θ) | I (rel.) | (hkl) |
| --- | --- | --- |
| 22.00 | 34 | 1 0 1 |
| 28.40 | 93 | 0 1 2 |
| 30.96 | 29 | 0 0 3 |
| 34.01 | 54 | 1 1 0 |
| 40.87 | 72 | 0 2 1 |
| 44.87 | 100 | 2 0 2 |
| 46.39 | 38 | 1 0 4 |
| 57.48 | 30 | 1 2 2 |
| 58.75 | 26 | 0 2 4 |
| 69.65 | 21 | 2 1 4 |


# 6
# Pa2Co3B12Ru
Simulated X-ray diffraction stick pattern, Cu Kα X-rays. Input: a crystal structure in Alexandria, relaxed with GGA-PBE.
Peak positions follow from Bragg's law for the DFT cell and can differ from measured ones.

Structural model:
```
data_Pa2Co3B12Ru
_cell_length_a 5.3871
_cell_length_b 5.3871
_cell_length_c 22.6252
_cell_angle_alpha 90.00
_cell_angle_beta 90.00
_cell_angle_gamma 120.00
_space_group_name_H-M_alt 'R -3 m'
_space_group_IT_number 166
_space_group_name_Hall '-R 3 2"'
loop_
_atom_site_label
_atom_site_type_symbol
_atom_site_fract_x
_atom_site_fract_y
_atom_site_fract_z
Pa1 Pa 0.0000 0.0000 0.1413
Co1 Co 0.0000 0.5000 0.0000
B1 B 0.0788 0.5394 0.0905
B2 B 0.1081 0.2162 0.7372
Ru1 Ru 0.0000 0.0000 0.5000
```

Main lines, in order of rising 2θ (2θ from 5° to 70°):
| Position (°2θ) | I (rel.) | (hkl) |
| --- | --- | --- |
| 11.73 | 64 | 0 0 3 |
| 23.59 | 29 | 0 0 6 |
| 24.74 | 45 | 1 0 4 |
| 27.46 | 24 | 0 1 5 |
| 33.26 | 44 | 1 1 0 |
| 35.39 | 100 | 1 1 3 |
| 41.19 | 20 | 1 1 6 |
| 48.36 | 23 | 0 1 11 |
| 50.73 | 20 | 2 0 8 |
| 60.82 | 22 | 3 0 3 |


# 7
# PmCo6B3
Simulated X-ray diffraction stick pattern, Cu Kα X-rays. Input: a crystal structure in Alexandria, relaxed with GGA-PBE.
Peak positions follow from Bragg's law for the DFT cell and can differ from measured ones.

Structural model:
```
data_PmCo6B3
_cell_length_a 5.038
_cell_length_b 5.123
_cell_length_c 5.473
_cell_angle_alpha 86.51
_cell_angle_beta 64.25
_cell_angle_gamma 60.81
_space_group_name_H-M_alt 'P 1'
_space_group_IT_number 1
loop_
_space_group_symop_operation_xyz
'x,y,z'
loop_
_atom_site_label
_atom_site_type_symbol
_atom_site_fract_x
_atom_site_fract_y
_atom_site_fract_z
Pm1 Pm 0.000 0.000 0.000
Co1 Co 0.205 0.427 0.672
Co2 Co 0.333 0.043 0.317
Co3 Co 0.370 0.540 0.209
Co4 Co 0.711 0.402 0.673
Co5 Co 0.718 0.886 0.608
Co6 Co 0.906 0.526 0.202
B1 B 0.410 0.246 0.936
B2 B 0.440 0.670 0.498
B3 B 0.695 0.673 0.940
```

Main lines, in order of rising 2θ (2θ from 5° to 70°):
| Position (°2θ) | I (rel.) | (hkl) |
| --- | --- | --- |
| 32.50 | 30 | 1 1 -1 |
| 33.31 | 28 | 1 0 2 |
| 35.68 | 30 | 1 0 -1 |
| 36.64 | 21 | 1 1 2 |
| 38.91 | 25 | 0 1 -2 |
| 41.14 | 100 | 2 0 1 |
| 41.53 | 53 | 2 2 1 |
| 41.80 | 49 | 0 2 -1 |
| 46.20 | 22 | 0 1 2 |
| 53.30 | 18 | 2 1 3 |


# 8
# PmCo6B4
Simulated X-ray diffraction stick pattern, Cu Kα X-rays. Input: a crystal structure in Alexandria, relaxed with GGA-PBE.
Peak positions follow from Bragg's law for the DFT cell and can differ from measured ones.

Structural model:
```
data_PmCo6B4
_cell_length_a 7.513
_cell_length_b 6.767
_cell_length_c 5.189
_cell_angle_alpha 90.00
_cell_angle_beta 117.29
_cell_angle_gamma 90.00
_space_group_name_H-M_alt 'C 1 m 1'
_space_group_IT_number 8
loop_
_space_group_symop_operation_xyz
'x,y,z'
'x,-y,z'
'x+1/2,y+1/2,z'
'x+1/2,-y+1/2,z'
loop_
_atom_site_label
_atom_site_type_symbol
_atom_site_fract_x
_atom_site_fract_y
_atom_site_fract_z
Pm1 Pm 0.000 0.000 0.000
Co1 Co 0.099 0.000 0.546
Co2 Co 0.110 0.321 0.726
Co3 Co 0.279 0.303 0.399
Co4 Co 0.458 0.000 0.222
B1 B 0.146 0.500 0.056
B2 B 0.355 0.000 0.508
B3 B 0.357 0.137 0.816
```

Main lines, in order of rising 2θ (2θ from 5° to 70°):
| Position (°2θ) | I (rel.) | (hkl) |
| --- | --- | --- |
| 18.67 | 36 | 1 1 0 |
| 32.83 | 52 | 0 2 1 |
| 36.44 | 44 | 2 2 -1 |
| 37.38 | 100 | 1 1 -2 |
| 37.86 | 77 | 2 2 0 |
| 38.34 | 59 | 3 1 -1 |
| 39.95 | 64 | 2 0 1 |
| 42.29 | 60 | 1 3 0 |
| 49.58 | 45 | 1 3 1 |
| 58.98 | 43 | 3 3 -2 |


Please write out number 6 again, unchanged.
# Pa2Co3B12Ru
Simulated X-ray diffraction stick pattern, Cu Kα X-rays. Input: a crystal structure in Alexandria, relaxed with GGA-PBE.
Peak positions follow from Bragg's law for the DFT cell and can differ from measured ones.

Structural model:
```
data_Pa2Co3B12Ru
_cell_length_a 5.3871
_cell_length_b 5.3871
_cell_length_c 22.6252
_cell_angle_alpha 90.00
_cell_angle_beta 90.00
_cell_angle_gamma 120.00
_space_group_name_H-M_alt 'R -3 m'
_space_group_IT_number 166
_space_group_name_Hall '-R 3 2"'
loop_
_atom_site_label
_atom_site_type_symbol
_atom_site_fract_x
_atom_site_fract_y
_atom_site_fract_z
Pa1 Pa 0.0000 0.0000 0.1413
Co1 Co 0.0000 0.5000 0.0000
B1 B 0.0788 0.5394 0.0905
B2 B 0.1081 0.2162 0.7372
Ru1 Ru 0.0000 0.0000 0.5000
```

Main lines, in order of rising 2θ (2θ from 5° to 70°):
| Position (°2θ) | I (rel.) | (hkl) |
| --- | --- | --- |
| 11.73 | 64 | 0 0 3 |
| 23.59 | 29 | 0 0 6 |
| 24.74 | 45 | 1 0 4 |
| 27.46 | 24 | 0 1 5 |
| 33.26 | 44 | 1 1 0 |
| 35.39 | 100 | 1 1 3 |
| 41.19 | 20 | 1 1 6 |
| 48.36 | 23 | 0 1 11 |
| 50.73 | 20 | 2 0 8 |
| 60.82 | 22 | 3 0 3 |